# 1
For Hf2CoB, a cell relaxed with GGA-PBE gives the simulated powder XRD pattern in this record (Cu Kα, 1.54184 Å).
Intensities are scaled so that the largest is 100.

Peak list (10 most intense, 2θ = 15–90°, most intense first)
2theta  I (rel.)
37.5  100
31.1  60
38.6  43
46.4  25
27.7  23
65.5  18
63.4  17
61.1  16
50.8  16
53.7  13

Unit cell a=5.0930 b=3.5947 c=6.8265 alpha=90.00 beta=109.47 gamma=90.00
Space group P2_1/m (No. 11)
One atom of each set of equivalent atoms:
1 Hf 0.2140 0.2500 0.4234
2 Hf 0.2232 0.2500 0.9329
3 Co 0.3694 0.7500 0.2198
4 B 0.3440 0.7500 0.7064

---

# 2
For Ho3Co2B9, a cell relaxed with GGA-PBE gives the simulated powder XRD pattern in this record (Cu Kα, 1.54184 Å).
Intensities are scaled so that the largest is 100.

Peak list (10 most intense, 2θ = 15–90°, most intense first)
2theta  I (rel.)
30.9  100
41.4  95
26.8  73
36.3  52
24.0  47
42.9  30
41.8  23
27.5  21
23.3  21
46.8  18

Unit cell a=3.1395 b=7.4105 c=13.3257 alpha=90.00 beta=90.00 gamma=90.00
Space group Immm (No. 71)
One atom of each set of equivalent atoms:
1 Ho 0.0000 0.0000 0.0000
2 Ho 0.0000 0.0000 0.2645
3 Co 0.0000 0.1653 0.5000
4 B 0.0000 0.2695 0.1221
5 B 0.0000 0.3097 0.3707
6 B 0.0000 0.5000 0.0000

---

# 3
For HoCo5B3, a cell relaxed with GGA-PBE gives the simulated powder XRD pattern in this record (Cu Kα, 1.54184 Å).
Intensities are scaled so that the largest is 100.

Peak list (10 most intense, 2θ = 15–90°, most intense first)
2theta  I (rel.)
38.0  100
30.9  78
36.1  69
44.8  67
40.2  52
28.6  51
34.2  41
53.3  39
62.9  35
49.7  32

Unit cell a=3.4364 b=10.8384 c=10.2896 alpha=90.00 beta=90.00 gamma=90.00
Space group Cmcm (No. 63)
One atom of each set of equivalent atoms:
1 Ho 0.0000 0.1645 0.2500
2 Co 0.0000 0.0000 0.0000
3 Co 0.0000 0.2014 0.5657
4 Co 0.0000 0.4447 0.1440
5 B 0.0000 0.1238 0.7500
6 B 0.0000 0.3834 0.5439

---

# 4
For HoCo4B4, a cell relaxed with GGA-PBE gives the simulated powder XRD pattern in this record (Cu Kα, 1.54184 Å).
Intensities are scaled so that the largest is 100.

Peak list (10 most intense, 2θ = 15–90°, most intense first)
2theta  I (rel.)
42.5  100
43.0  59
25.2  36
36.2  35
38.3  30
21.9  23
69.1  22
76.9  22
35.9  18
31.3  18

Unit cell a=4.9988 b=4.9988 c=6.9644 alpha=90.00 beta=90.00 gamma=90.00
Space group P4_2/nmc (No. 137, origin choice 2)
One atom of each set of equivalent atoms:
1 Ho 0.2500 0.7500 0.2500
2 Co 0.0035 0.7500 0.6139
3 B 0.0748 0.2500 0.0905

---

# 5
For Ho4Co3B6, a cell relaxed with GGA-PBE gives the simulated powder XRD pattern in this record (Cu Kα, 1.54184 Å).
Intensities are scaled so that the largest is 100.

Peak list (10 most intense, 2θ = 15–90°, most intense first)
2theta  I (rel.)
33.9  100
42.2  71
24.5  38
34.8  22
60.6  21
61.9  18
38.4  17
66.3  15
76.6  12
71.2  11

Unit cell a=5.2961 b=5.2961 c=21.8409 alpha=90.00 beta=90.00 gamma=120.00
Space group R-3m (No. 166, hexagonal axes)
One atom of each set of equivalent atoms:
1 Ho 0.0000 0.0000 0.0889
2 Ho 0.0000 0.0000 0.2448
3 Co 0.0000 0.0000 0.3876
4 Co 0.0000 0.0000 0.5000
5 B 0.0000 0.3318 0.0000

---

# 6
For Ho2CoB10, a cell relaxed with GGA-PBE gives the simulated powder XRD pattern in this record (Cu Kα, 1.54184 Å).
Intensities are scaled so that the largest is 100.

Peak list (10 most intense, 2θ = 15–90°, most intense first)
2theta  I (rel.)
31.5  100
39.2  77
22.7  72
21.5  30
32.4  29
49.9  28
28.1  20
46.4  20
57.2  19
43.8  17

Unit cell a=5.5334 b=11.0609 c=4.1361 alpha=90.00 beta=90.00 gamma=90.00
Space group Pbam (No. 55)
One atom of each set of equivalent atoms:
1 Ho 0.1992 0.1334 0.0000
2 Co 0.0000 0.5000 0.5000
3 B 0.0290 0.3141 0.5000
4 B 0.1277 0.9601 0.5000
5 B 0.1584 0.8019 0.5000
6 B 0.2006 0.3865 0.1997